No. 1
# Cr2B3W3
Theoretical X-ray powder pattern, Cu Kα X-rays. Input: a crystal structure in the Materials Project, relaxed with PBE.
No peak broadening, texture or thermal motion is included.

Structure:
abc: 5.7765 5.7765 10.5755
angles: 90.00 90.00 90.00
Space group I4cm (No. 108)
Unique sites:
Cr (0.1624, 0.3376, 0.0000)
B (0.0000, 0.0000, 0.4032)
B (0.1159, 0.3841, 0.6381)
W (0.0000, 0.0000, 0.1296)
W (0.1711, 0.3289, 0.2929)

The 8 most intense peaks (2θ from 10° to 90°), low angle first:
| Position (°2θ) | I (rel.) | hkl |
| --- | --- | --- |
| 16.77 | 51 | 0 0 2 |
| 27.59 | 63 | 1 1 2 |
| 35.41 | 68 | 2 0 2 |
| 35.78 | 92 | 2 1 1 |
| 40.65 | 36 | 1 1 4 |
| 43.43 | 100 | 2 1 3 |
| 46.57 | 53 | 2 0 4 |
| 49.93 | 51 | 3 1 0 |

***

No. 2
# CrBW
Theoretical X-ray powder pattern, Cu Kα X-rays. Input: a crystal structure in the Materials Project, relaxed with PBE.
No peak broadening, texture or thermal motion is included.

Structure:
abc: 4.5843 7.5845 7.6893
angles: 90.00 90.00 90.00
Space group Fmmm (No. 69)
Unique sites:
Cr (0.0000, 0.1711, 0.0000)
B (0.2500, 0.2500, 0.2500)
W (0.0000, 0.0000, 0.3343)

The 8 most intense peaks (2θ from 10° to 90°), low angle first:
| Position (°2θ) | I (rel.) | hkl |
| --- | --- | --- |
| 23.46 | 53 | 0 2 0 |
| 25.49 | 37 | 1 1 1 |
| 33.18 | 27 | 0 2 2 |
| 39.31 | 37 | 2 0 0 |
| 42.11 | 100 | 1 1 3 |
| 42.49 | 48 | 1 3 1 |
| 46.28 | 23 | 2 2 0 |
| 73.18 | 19 | 3 1 3 |

***

No. 3
# CrB2W
Theoretical X-ray powder pattern, Cu Kα X-rays. Input: a crystal structure in the Materials Project, relaxed with PBE.
No peak broadening, texture or thermal motion is included.

Structure:
abc: 3.0126 3.0796 8.2278
angles: 90.00 90.00 90.00
Space group Amm2 (No. 38)
Unique sites:
Cr (0.0000, 0.0000, 0.0000)
B (0.0000, 0.0000, 0.3004)
B (0.5000, 0.0000, 0.4232)
W (0.5000, 0.0000, 0.7094)

The 8 most intense peaks (2θ from 10° to 90°), low angle first:
| Position (°2θ) | I (rel.) | hkl |
| --- | --- | --- |
| 21.60 | 59 | 0 0 2 |
| 29.65 | 26 | 1 0 0 |
| 31.01 | 78 | 0 1 1 |
| 36.98 | 88 | 1 0 2 |
| 43.44 | 100 | 1 1 1 |
| 44.02 | 26 | 0 0 4 |
| 44.22 | 57 | 0 1 3 |
| 54.15 | 31 | 1 1 3 |

***

No. 4
# YCrB4
Theoretical X-ray powder pattern, Cu Kα X-rays. Input: a crystal structure in the Materials Project, relaxed with PBE.
No peak broadening, texture or thermal motion is included.

Structure:
abc: 5.9335 11.4622 3.4501
angles: 90.00 90.00 90.00
Space group Pbam (No. 55)
Unique sites:
Y (0.1246, 0.1506, 0.0000)
Cr (0.1220, 0.4207, 0.0000)
B (0.0246, 0.6916, 0.5000)
B (0.1130, 0.5467, 0.5000)
B (0.1373, 0.9675, 0.5000)
B (0.2195, 0.8161, 0.5000)

The 8 most intense peaks (2θ from 10° to 90°), low angle first:
| Position (°2θ) | I (rel.) | hkl |
| --- | --- | --- |
| 25.82 | 62 | 0 0 1 |
| 27.77 | 29 | 1 3 0 |
| 31.16 | 75 | 2 1 0 |
| 34.77 | 20 | 1 4 0 |
| 38.28 | 35 | 1 3 1 |
| 40.90 | 100 | 2 1 1 |
| 43.81 | 30 | 1 4 1 |
| 46.87 | 30 | 2 3 1 |

***

No. 5
# CsBPbI2F4
Theoretical X-ray powder pattern, Cu Kα X-rays. Input: a crystal structure in the Materials Project, relaxed with PBE.
No peak broadening, texture or thermal motion is included.

Structure:
abc: 8.6273 8.7169 7.0054
angles: 90.00 91.14 90.00
Space group C2 (No. 5)
Unique sites:
Cs (0.0000, 0.0000, 0.0000)
B (0.0000, 0.5271, 0.0000)
Pb (0.0000, 0.5203, 0.5000)
I (0.2442, 0.2668, 0.3808)
F (0.0923, 0.6218, 0.1211)
F (0.0960, 0.4337, 0.8848)

The 8 most intense peaks (2θ from 10° to 90°), low angle first:
| Position (°2θ) | I (rel.) | hkl |
| --- | --- | --- |
| 12.64 | 25 | 0 0 1 |
| 14.45 | 23 | 1 1 0 |
| 19.10 | 59 | 1 1 -1 |
| 19.37 | 64 | 1 1 1 |
| 25.43 | 21 | 0 0 2 |
| 29.14 | 100 | 2 2 0 |
| 34.94 | 22 | 1 3 -1 |
| 35.07 | 38 | 3 1 -1 |

***

No. 6
# CsB3PbF12
Theoretical X-ray powder pattern, Cu Kα X-rays. Input: a crystal structure in the Materials Project, relaxed with PBE.
No peak broadening, texture or thermal motion is included.

Structure:
abc: 9.3508 10.1268 6.8653
angles: 90.00 91.22 90.00
Space group Cm (No. 8)
Unique sites:
Cs (0.0000, 0.0000, 0.0000)
B (0.2366, 0.2646, 0.3890)
B (0.4703, 0.0000, 0.9214)
Pb (0.4300, 0.0000, 0.4744)
F (0.0061, 0.5000, 0.1234)
F (0.0281, 0.3868, 0.8305)
F (0.0913, 0.3052, 0.4075)
F (0.2365, 0.1403, 0.2851)
F (0.2981, 0.2391, 0.5751)
F (0.3135, 0.3582, 0.2870)
F (0.3197, 0.0000, 0.8903)

The 8 most intense peaks (2θ from 10° to 90°), low angle first:
| Position (°2θ) | I (rel.) | hkl |
| --- | --- | --- |
| 12.89 | 91 | 1 1 0 |
| 17.52 | 50 | 0 2 0 |
| 18.13 | 94 | 1 1 -1 |
| 18.42 | 90 | 1 1 1 |
| 18.99 | 38 | 2 0 0 |
| 25.95 | 100 | 2 2 0 |
| 41.39 | 34 | 1 1 -3 |
| 44.46 | 39 | 0 4 2 |